Calculated powder diffraction line list
Compound: Li5Mn2V5O12
Radiation: Cu Ka
Structure: a GGA+U-relaxed structure
No peak broadening, texture or thermal motion is included.

Top 12 peaks for 2θ = 15–90°, low angle first:
- 18.05°, intensity 34.5
- 19.61°, intensity 23.8
- 20.35°, intensity 15.0
- 22.84°, intensity 30.7
- 31.23°, intensity 12.9
- 34.75°, intensity 12.2
- 36.32°, intensity 17.5
- 41.89°, intensity 54.5
- 42.34°, intensity 100.0
- 60.75°, intensity 27.3
- 61.41°, intensity 53.5
- 77.12°, intensity 11.9

Atomic structure:
a b c (Å): 5.2471 5.2471 9.9790
angles (deg): 94.99 94.99 119.35
Element x y z (fractional)
Li1 0.0000 0.0000 0.0000
Li2 0.2524 0.2565 0.7616
Li3 0.3961 0.0713 0.2377
Li4 0.7435 0.7476 0.2384
Li5 0.9287 0.6039 0.7623
Mn1 0.3280 0.6720 0.0000
Mn2 0.8342 0.1658 0.5000
V1 0.0813 0.4046 0.2411
V2 0.1646 0.8354 0.5000
V3 0.5033 0.4967 0.5000
V4 0.5954 0.9187 0.7589
V5 0.6590 0.3410 0.0000
O1 0.0157 0.6788 0.1230
O2 0.1467 0.1387 0.3811
O3 0.2397 0.5694 0.6214
O4 0.3212 0.9843 0.8770
O5 0.3662 0.3751 0.1279
O6 0.4306 0.7603 0.3786
O7 0.5167 0.1863 0.6172
O8 0.6249 0.6338 0.8721
O9 0.7201 0.0774 0.1302
O10 0.8137 0.4833 0.3828
O11 0.8613 0.8533 0.6189
O12 0.9226 0.2799 0.8698

***

Calculated powder diffraction line list
Compound: LiMnVO4
Radiation: Cu Ka
Structure: a GGA+U-relaxed structure
No peak broadening, texture or thermal motion is included.

Top 12 peaks for 2θ = 15–90°, low angle first:
- 17.83°, intensity 37.3
- 21.16°, intensity 30.3
- 29.78°, intensity 91.1
- 34.38°, intensity 100.0
- 34.97°, intensity 21.8
- 35.39°, intensity 47.9
- 42.03°, intensity 18.0
- 52.72°, intensity 15.5
- 55.92°, intensity 20.1
- 59.92°, intensity 14.1
- 61.76°, intensity 51.5
- 61.96°, intensity 13.0

Atomic structure:
a b c (Å): 6.0115 6.0115 6.0115
angles (deg): 120.23 118.19 91.38
Element x y z (fractional)
Li1 0.5000 0.0000 0.0000
Li2 0.5000 0.5000 0.5000
Mn1 0.0000 0.0000 0.0000
Mn2 0.5000 0.0000 0.5000
V1 0.1285 0.3785 0.7500
V2 0.8715 0.6215 0.2500
O1 0.2221 0.7413 0.4808
O2 0.2395 0.2587 0.9808
O3 0.2501 0.2555 0.5053
O4 0.2501 0.7448 0.9947
O5 0.7499 0.2552 0.0053
O6 0.7499 0.7445 0.4947
O7 0.7605 0.7413 0.0192
O8 0.7779 0.2587 0.5192

***

Calculated powder diffraction line list
Compound: Li2MnV4O14
Radiation: Cu Ka
Structure: a GGA+U-relaxed structure
No peak broadening, texture or thermal motion is included.

Top 12 peaks for 2θ = 15–90°, low angle first:
- 16.60°, intensity 20.8
- 19.28°, intensity 13.8
- 24.51°, intensity 49.6
- 27.64°, intensity 20.3
- 28.33°, intensity 46.8
- 29.46°, intensity 100.0
- 33.55°, intensity 42.7
- 35.01°, intensity 13.1
- 35.27°, intensity 21.2
- 50.57°, intensity 17.1
- 50.89°, intensity 28.1
- 70.57°, intensity 13.4

Atomic structure:
a b c (Å): 9.9556 9.9556 8.0145
angles (deg): 104.90 104.90 20.77
Element x y z (fractional)
Li1 0.2433 0.2433 0.2983
Li2 0.7567 0.7567 0.7017
Mn1 0.0000 0.0000 0.0000
V1 0.0990 0.0990 0.4313
V2 0.4120 0.4120 0.2621
V3 0.5880 0.5880 0.7379
V4 0.9010 0.9010 0.5687
O1 0.0666 0.0666 0.6614
O2 0.0755 0.0755 0.2101
O3 0.1868 0.1868 0.4900
O4 0.2900 0.2900 0.7950
O5 0.3263 0.3263 0.1795
O6 0.4252 0.4252 0.5281
O7 0.4546 0.4546 0.0945
O8 0.5454 0.5454 0.9055
O9 0.5748 0.5748 0.4719
O10 0.6737 0.6737 0.8205
O11 0.7100 0.7100 0.2050
O12 0.8132 0.8132 0.5100
O13 0.9245 0.9245 0.7899
O14 0.9334 0.9334 0.3386

***

Calculated powder diffraction line list
Compound: LiMn2V4O8
Radiation: Cu Ka
Structure: a GGA+U-relaxed structure
No peak broadening, texture or thermal motion is included.

Top 12 peaks for 2θ = 15–90°, low angle first:
- 17.28°, intensity 28.7
- 28.12°, intensity 100.0
- 32.77°, intensity 89.3
- 32.87°, intensity 29.8
- 33.33°, intensity 88.1
- 33.40°, intensity 29.3
- 33.60°, intensity 86.0
- 33.68°, intensity 28.8
- 52.33°, intensity 46.6
- 58.08°, intensity 61.8
- 58.19°, intensity 61.4
- 58.55°, intensity 31.4

Atomic structure:
a b c (Å): 6.2156 6.3065 6.3404
angles (deg): 119.71 119.15 90.20
Element x y z (fractional)
Li1 0.0000 0.0000 0.0000
Mn1 0.2429 0.7422 0.4845
Mn2 0.4981 0.4979 0.9961
V1 0.4044 0.1294 0.2593
V2 0.8538 0.1295 0.2588
V3 0.8657 0.6012 0.7312
V4 0.8666 0.1298 0.7309
O1 0.0828 0.3617 0.7231
O2 0.1065 0.8817 0.7640
O3 0.1085 0.3329 0.2143
O4 0.1081 0.8816 0.2145
O5 0.6399 0.3613 0.7226
O6 0.6395 0.9062 0.2840
O7 0.6411 0.3777 0.2840
O8 0.6584 0.8831 0.7658

***

Calculated powder diffraction line list
Compound: Li2MnV3O8
Radiation: Cu Ka
Structure: a GGA+U-relaxed structure
No peak broadening, texture or thermal motion is included.

Top 12 peaks for 2θ = 15–90°, low angle first:
- 17.92°, intensity 100.0
- 18.18°, intensity 22.7
- 20.95°, intensity 47.9
- 29.63°, intensity 48.5
- 34.84°, intensity 15.0
- 35.13°, intensity 55.3
- 35.27°, intensity 82.4
- 42.64°, intensity 62.2
- 56.10°, intensity 33.9
- 56.39°, intensity 18.1
- 61.52°, intensity 39.1
- 62.25°, intensity 40.7

Atomic structure:
a b c (Å): 5.9679 6.0305 10.3284
angles (deg): 73.40 90.00 60.35
Element x y z (fractional)
Li1 0.0000 0.0000 0.0000
Li2 0.0629 0.8591 0.6910
Li3 0.4921 0.0006 0.5006
Li4 0.5706 0.8581 0.1912
Mn1 0.1372 0.7277 0.3799
Mn2 0.6272 0.7281 0.8796
V1 0.0516 0.3656 0.6926
V2 0.0758 0.3652 0.1934
V3 0.3066 0.3615 0.9435
V4 0.5647 0.3560 0.6867
V5 0.5729 0.3560 0.1857
V6 0.8226 0.3617 0.4436
O1 0.1371 0.1517 0.5578
O2 0.1953 0.5731 0.5881
O3 0.2033 0.1517 0.0578
O4 0.2095 0.5852 0.0698
O5 0.4073 0.1532 0.2943
O6 0.4185 0.1456 0.8095
O7 0.4399 0.5630 0.8140
O8 0.4897 0.5627 0.3142
O9 0.6601 0.1540 0.0729
O10 0.6784 0.1540 0.5730
O11 0.6977 0.5853 0.5699
O12 0.7238 0.5732 0.0881
O13 0.9287 0.1452 0.3093
O14 0.9304 0.5851 0.3131
O15 0.9321 0.1529 0.7944
O16 0.9770 0.5852 0.8133

***

Calculated powder diffraction line list
Compound: Li4Mn2V5O12
Radiation: Cu Ka
Structure: a GGA+U-relaxed structure
No peak broadening, texture or thermal motion is included.

Top 12 peaks for 2θ = 15–90°, low angle first:
- 18.16°, intensity 43.7
- 19.64°, intensity 31.9
- 20.37°, intensity 15.1
- 22.75°, intensity 38.0
- 31.44°, intensity 13.0
- 36.34°, intensity 18.7
- 41.67°, intensity 52.6
- 42.57°, intensity 100.0
- 60.61°, intensity 28.1
- 61.59°, intensity 39.3
- 61.90°, intensity 13.2
- 77.17°, intensity 13.5

Atomic structure:
a b c (Å): 5.3207 9.0287 9.9078
angles (deg): 90.00 99.49 90.00
Element x y z (fractional)
Li1 0.0003 0.0000 0.2416
Li2 0.9997 0.5000 0.7584
Li3 0.0191 0.8314 0.7586
Li4 0.2585 0.9962 0.9971
Li5 0.4866 0.8314 0.2393
Li6 0.5134 0.3314 0.7607
Li7 0.7415 0.4962 0.0029
Li8 0.9809 0.3314 0.2414
Mn1 0.2593 0.6646 0.0055
Mn2 0.2649 0.1566 0.5136
Mn3 0.7351 0.6566 0.4864
Mn4 0.7407 0.1646 0.9945
V1 0.0025 0.1583 0.7595
V2 0.2461 0.3360 0.0056
V3 0.2475 0.8304 0.5016
V4 0.2518 0.4897 0.5000
V5 0.4979 0.1654 0.2446
V6 0.5021 0.6654 0.7554
V7 0.7482 0.9897 0.5000
V8 0.7525 0.3304 0.4984
V9 0.7539 0.8360 0.9944
V10 0.9975 0.6583 0.2405
O1 0.0894 0.9864 0.6165
O2 0.1024 0.3260 0.6234
O3 0.1133 0.5114 0.1140
O4 0.1228 0.8194 0.1144
O5 0.1517 0.1805 0.1333
O6 0.1535 0.6559 0.6243
O7 0.3355 0.6674 0.3792
O8 0.3415 0.1893 0.8758
O9 0.3638 0.5077 0.8885
O10 0.3783 0.8096 0.8834
O11 0.3954 0.9970 0.3759
O12 0.4003 0.3248 0.3919
O13 0.5997 0.8248 0.6081
O14 0.6046 0.4970 0.6241
O15 0.6217 0.3096 0.1166
O16 0.6362 0.0077 0.1115
O17 0.6585 0.6893 0.1242
O18 0.6645 0.1674 0.6208
O19 0.8465 0.1559 0.3757
O20 0.8483 0.6805 0.8667
O21 0.8772 0.3194 0.8856
O22 0.8867 0.0114 0.8860
O23 0.8976 0.8260 0.3766
O24 0.9106 0.4864 0.3835

***

Calculated powder diffraction line list
Compound: Li2MnV3O8
Radiation: Cu Ka
Structure: a GGA+U-relaxed structure
No peak broadening, texture or thermal motion is included.

Top 12 peaks for 2θ = 15–90°, low angle first:
- 18.12°, intensity 48.7
- 20.96°, intensity 19.1
- 23.46°, intensity 25.8
- 25.74°, intensity 12.5
- 29.81°, intensity 21.8
- 35.11°, intensity 100.0
- 42.66°, intensity 42.0
- 56.35°, intensity 10.5
- 56.41°, intensity 31.1
- 61.86°, intensity 27.3
- 61.97°, intensity 26.8
- 73.25°, intensity 7.3

Atomic structure:
a b c (Å): 8.4779 8.4779 8.4779
angles (deg): 89.91 89.91 89.91
Element x y z (fractional)
Li1 0.0000 0.0000 0.0000
Li2 0.1226 0.6243 0.8740
Li3 0.3797 0.3797 0.3797
Li4 0.5025 0.5022 0.9984
Li5 0.5022 0.9984 0.5025
Li6 0.6243 0.8740 0.1226
Li7 0.8740 0.1226 0.6243
Li8 0.9984 0.5025 0.5022
Mn1 0.2497 0.2516 0.7465
Mn2 0.2516 0.7465 0.2497
Mn3 0.7465 0.2497 0.2516
Mn4 0.7524 0.7524 0.7524
V1 0.1222 0.1363 0.3737
V2 0.1282 0.8742 0.6258
V3 0.1363 0.3737 0.1222
V4 0.3717 0.8733 0.8762
V5 0.3737 0.1222 0.1363
V6 0.3742 0.6292 0.6289
V7 0.6258 0.1282 0.8742
V8 0.6289 0.3742 0.6292
V9 0.6292 0.6289 0.3742
V10 0.8733 0.8763 0.3717
V11 0.8742 0.6258 0.1282
V12 0.8762 0.3717 0.8733
O1 0.1033 0.6056 0.1235
O2 0.1057 0.3794 0.8893
O3 0.1145 0.8964 0.3838
O4 0.1220 0.3495 0.3629
O5 0.1235 0.1033 0.6056
O6 0.1359 0.1359 0.1359
O7 0.1440 0.6528 0.6161
O8 0.1503 0.8804 0.8561
O9 0.3495 0.3629 0.1220
O10 0.3629 0.1220 0.3495
O11 0.3643 0.8654 0.6366
O12 0.3794 0.8893 0.1057
O13 0.3803 0.6432 0.8507
O14 0.3838 0.1145 0.8964
O15 0.3964 0.6255 0.3985
O16 0.3985 0.3964 0.6255
O17 0.6020 0.8962 0.8717
O18 0.6056 0.1235 0.1033
O19 0.6133 0.6133 0.6133
O20 0.6161 0.1440 0.6528
O21 0.6255 0.3985 0.3964
O22 0.6366 0.3643 0.8654
O23 0.6432 0.8507 0.3803
O24 0.6528 0.6161 0.1440
O25 0.8507 0.3803 0.6432
O26 0.8561 0.1503 0.8804
O27 0.8654 0.6366 0.3643
O28 0.8717 0.6020 0.8962
O29 0.8804 0.8561 0.1503
O30 0.8893 0.1057 0.3794
O31 0.8964 0.3838 0.1145
O32 0.8962 0.8717 0.6020

***

Calculated powder diffraction line list
Compound: LiMn2V4O8
Radiation: Cu Ka
Structure: a GGA+U-relaxed structure
No peak broadening, texture or thermal motion is included.

Top 12 peaks for 2θ = 15–90°, low angle first:
- 27.94°, intensity 22.5
- 29.60°, intensity 41.8
- 32.72°, intensity 21.8
- 33.98°, intensity 50.5
- 34.13°, intensity 100.0
- 34.81°, intensity 34.5
- 41.02°, intensity 20.5
- 41.26°, intensity 40.3
- 53.15°, intensity 25.7
- 57.73°, intensity 34.2
- 61.41°, intensity 39.0
- 61.52°, intensity 19.4

Atomic structure:
a b c (Å): 6.0294 6.0391 6.3812
angles (deg): 62.01 89.94 60.06
Element x y z (fractional)
Li1 0.0000 0.0000 0.0000
Mn1 0.1447 0.7114 0.4339
Mn2 0.8553 0.2886 0.5661
V1 0.0000 0.5000 0.0000
V2 0.5000 0.0000 0.0000
V3 0.5000 0.0000 0.5000
V4 0.5000 0.5000 0.0000
O1 0.2468 0.0257 0.2222
O2 0.2495 0.5030 0.2271
O3 0.2654 0.4662 0.8052
O4 0.2730 0.9731 0.7809
O5 0.7270 0.0269 0.2191
O6 0.7346 0.5338 0.1948
O7 0.7505 0.4970 0.7729
O8 0.7532 0.9743 0.7778

***

Calculated powder diffraction line list
Compound: Li2MnVO4
Radiation: Cu Ka
Structure: a GGA+U-relaxed structure
No peak broadening, texture or thermal motion is included.

Top 12 peaks for 2θ = 15–90°, low angle first:
- 18.15°, intensity 100.0
- 33.68°, intensity 16.8
- 35.70°, intensity 25.6
- 36.80°, intensity 11.4
- 40.60°, intensity 33.3
- 43.60°, intensity 53.2
- 46.41°, intensity 9.5
- 57.53°, intensity 8.9
- 60.79°, intensity 16.7
- 61.38°, intensity 15.3
- 63.01°, intensity 9.5
- 63.72°, intensity 7.2

Atomic structure:
a b c (Å): 5.1412 6.1095 7.7798
angles (deg): 81.60 72.00 88.31
Element x y z (fractional)
Li1 0.0011 0.0853 0.1680
Li2 0.0031 0.7642 0.4915
Li3 0.0075 0.5961 0.1607
Li4 0.9925 0.4039 0.8393
Li5 0.9970 0.2358 0.5085
Li6 0.9989 0.9147 0.8320
Mn1 0.4940 0.3337 0.1673
Mn2 0.5000 0.5000 0.5000
Mn3 0.5060 0.6663 0.8327
V1 0.4948 0.1635 0.8318
V2 0.5000 0.0000 0.5000
V3 0.5052 0.8365 0.1682
O1 0.2552 0.1998 0.6712
O2 0.2597 0.0316 0.3345
O3 0.2617 0.3657 0.0064
O4 0.2815 0.8754 0.9877
O5 0.2837 0.5514 0.3235
O6 0.2910 0.7143 0.6549
O7 0.7090 0.2857 0.3451
O8 0.7163 0.4486 0.6765
O9 0.7185 0.1246 0.0123
O10 0.7383 0.6343 0.9936
O11 0.7403 0.9684 0.6655
O12 0.7448 0.8002 0.3288